Entry 1:
This entry pairs a crystal structure of DyNp3Pd12 with its calculated PXRD pattern. Radiation: copper Kα. Structure: DFT lattice parameters and positions (PBE).

Cell and atoms:
Cell lengths 4.1413, 4.1413, 16.5113 Å; angles 90.00, 90.00, 90.00 degrees
Space group P4/mmm (No. 123)
One atom of each set of equivalent atoms:
1 Dy 0.0000 0.0000 0.0000 x1
2 Np 0.0000 0.0000 0.2482 x2
3 Np 0.0000 0.0000 0.5000 x1
4 Pd 0.0000 0.5000 0.1254 x4
5 Pd 0.0000 0.5000 0.3747 x4
6 Pd 0.5000 0.5000 0.0000 x1
7 Pd 0.5000 0.5000 0.2499 x2
8 Pd 0.5000 0.5000 0.5000 x1

Top 8 peaks for 10 to 80 degrees two-theta, in order of rising 2θ:
- 21.48°, rel. 11, (1 0 0)
- 37.66°, rel. 100, (1 1 4)
- 43.72°, rel. 33, (2 0 0)
- 43.87°, rel. 16, (0 0 8)
- 63.54°, rel. 11, (2 2 0)
- 63.66°, rel. 21, (2 0 8)
- 76.28°, rel. 25, (3 1 4)
- 76.49°, rel. 13, (1 1 12)


Entry 2:
This entry pairs a crystal structure of TbCd2Hg4 with its calculated PXRD pattern. Radiation: copper Kα. Structure: DFT lattice parameters and positions (PBE).

Cell and atoms:
Cell lengths 5.0024, 5.0024, 24.4070 Å; angles 90.00, 90.00, 120.00 degrees
Space group R-3m (No. 166, hexagonal axes)
One atom of each set of equivalent atoms:
1 Tb 0.0000 0.0000 0.0000 x3
2 Cd 0.0000 0.0000 0.2539 x6
3 Hg 0.0000 0.0000 0.1327 x6
4 Hg 0.0000 0.0000 0.3861 x6

Top 8 peaks for 10 to 80 degrees two-theta, in order of rising 2θ:
- 25.21°, rel. 26, (1 0 4)
- 32.98°, rel. 18, (1 0 7)
- 35.90°, rel. 100, (1 1 0)
- 36.01°, rel. 84, (0 1 8)
- 51.76°, rel. 30, (2 0 8)
- 64.57°, rel. 49, (3 0 0)
- 68.84°, rel. 13, (1 1 15)
- 76.11°, rel. 11, (2 2 0)


Entry 3:
This entry pairs a crystal structure of Ac2B12IrRu3 with its calculated PXRD pattern. Radiation: copper Kα. Structure: DFT lattice parameters and positions (PBE).

Cell and atoms:
Cell lengths 5.2114, 5.2114, 27.3815 Å; angles 90.00, 90.00, 120.00 degrees
Space group R-3m (No. 166, hexagonal axes)
One atom of each set of equivalent atoms:
1 Ac 0.0000 0.0000 0.1431 x6
2 B 0.0801 0.5401 0.6163 x18
3 B 0.1043 0.5522 0.9184 x18
4 Ir 0.0000 0.0000 0.5000 x3
5 Ru 0.0000 0.5000 0.0000 x9

Top 8 peaks for 10 to 80 degrees two-theta, in order of rising 2θ:
- 19.45°, rel. 78, (0 0 6)
- 23.61°, rel. 21, (1 0 4)
- 25.58°, rel. 38, (0 1 5)
- 34.42°, rel. 31, (1 1 0)
- 35.84°, rel. 100, (1 1 3)
- 39.84°, rel. 21, (1 1 6)
- 41.43°, rel. 35, (0 1 11)
- 48.31°, rel. 28, (2 0 8)


Entry 4:
This entry pairs a crystal structure of Cu2MoRh6 with its calculated PXRD pattern. Radiation: copper Kα. Structure: DFT lattice parameters and positions (PBE).

Cell and atoms:
Cell lengths 3.6520, 5.4072, 13.9587 Å; angles 90.00, 90.00, 90.00 degrees
Space group Imm2 (No. 44)
One atom of each set of equivalent atoms:
1 Cu 0.0000 0.0000 0.0000 x2
2 Cu 0.0000 0.0000 0.1999 x2
3 Mo 0.0000 0.5000 0.1966 x2
4 Rh 0.0000 0.2273 0.4223 x4
5 Rh 0.0000 0.2484 0.6035 x4
6 Rh 0.0000 0.2564 0.7981 x4

Top 8 peaks for 10 to 80 degrees two-theta, in order of rising 2θ:
- 25.22°, rel. 24, (1 0 1)
- 33.14°, rel. 19, (0 2 0)
- 40.68°, rel. 100, (1 0 5)
- 42.08°, rel. 84, (1 2 1)
- 42.29°, rel. 21, (0 2 4)
- 49.95°, rel. 30, (2 0 0)
- 51.85°, rel. 35, (0 2 6)
- 74.85°, rel. 22, (2 2 6)


Entry 5:
This entry pairs a crystal structure of Ca2Zn3Ag with its calculated PXRD pattern. Radiation: copper Kα. Structure: DFT lattice parameters and positions (PBE).

Cell and atoms:
Cell lengths 7.5599, 9.1345, 15.7256 Å; angles 90.00, 90.00, 90.00 degrees
Space group Fmmm (No. 69)
One atom of each set of equivalent atoms:
1 Ca 0.2456 0.0000 0.0000 x8
2 Ca 0.2500 0.2500 0.2500 x8
3 Zn 0.0000 0.0000 0.3366 x8
4 Zn 0.0000 0.2456 0.4179 x16
5 Ag 0.0000 0.0000 0.1668 x8

Top 8 peaks for 10 to 80 degrees two-theta, in order of rising 2θ:
- 23.54°, rel. 37, (2 0 0)
- 32.82°, rel. 100, (2 0 4)
- 39.46°, rel. 27, (0 4 0)
- 39.65°, rel. 54, (0 2 6)
- 46.62°, rel. 24, (2 2 6)
- 48.15°, rel. 15, (4 0 0)
- 52.27°, rel. 17, (2 4 4)
- 64.07°, rel. 24, (4 2 6)


Entry 6:
This entry pairs a crystal structure of SmMgTl with its calculated PXRD pattern. Radiation: copper Kα. Structure: DFT lattice parameters and positions (PBE).

Cell and atoms:
Cell lengths 4.6816, 15.2961, 4.4858 Å; angles 90.00, 90.00, 90.00 degrees
Space group Cmmm (No. 65)
One atom of each set of equivalent atoms:
1 Sm 0.0000 0.1636 0.0000 x4
2 Mg 0.0000 0.0000 0.5000 x2
3 Mg 0.0000 0.5000 0.0000 x2
4 Tl 0.0000 0.3499 0.5000 x4

Top 8 peaks for 10 to 80 degrees two-theta, in order of rising 2θ:
- 11.57°, rel. 23, (0 2 0)
- 23.26°, rel. 21, (0 4 0)
- 28.16°, rel. 31, (1 1 1)
- 32.76°, rel. 100, (1 3 1)
- 35.20°, rel. 18, (0 6 0)
- 38.46°, rel. 17, (2 0 0)
- 40.22°, rel. 18, (0 0 2)
- 50.37°, rel. 15, (1 7 1)